Diffraction record for Nd3TePb. The X-ray powder pattern is computed, not measured: it uses a cell relaxed with GGA-PBE and Cu Kα (weighted mean of Kα1 and Kα2).
No peak broadening, texture or thermal motion is included.

The 10 most intense peaks (2θ from 10° to 80°), in order of rising 2θ:
2θ 27.3, I 16; 2θ 28.4, I 33; 2θ 29.0, I 27; 2θ 30.5, I 100; 2θ 30.7, I 28; 2θ 33.1, I 36; 2θ 34.7, I 19; 2θ 39.7, I 37; 2θ 40.4, I 16; 2θ 49.5, I 20

Atomic structure:
```
Nd3TePb
1.0
8.637 0.000 0.000
0.000 4.542 0.000
0.000 0.000 16.861
Nd Te Pb
12 4 4
direct
0.015 0.250 0.108
0.138 0.250 0.556
0.160 0.750 0.274
0.340 0.250 0.774
0.362 0.750 0.056
0.485 0.750 0.608
0.515 0.250 0.392
0.638 0.250 0.944
0.660 0.750 0.226
0.840 0.250 0.726
0.862 0.750 0.444
0.985 0.750 0.892
0.220 0.250 0.949
0.280 0.750 0.449
0.720 0.250 0.551
0.780 0.750 0.051
0.117 0.750 0.699
0.383 0.250 0.199
0.617 0.750 0.801
0.883 0.250 0.301
```